Simulated X-ray powder pattern
Compound: Pu4IrRh2
Radiation: Cu Kα (λ = 1.5418 Å)
Structure: DFT lattice parameters and positions (GGA-PBE)

The 6 most intense peaks (10° ≤ 2θ ≤ 90°), low angle first:
| 2θ/deg | intensity |
| --- | --- |
| 33.3 | 100.0 |
| 39.7 | 67.8 |
| 52.8 | 20.5 |
| 55.1 | 29.7 |
| 68.0 | 23.4 |
| 72.0 | 15.0 |

Structure:
```
14
Lattice="-4.2518 4.2518 4.2464 4.2518 -4.2518 4.2464 4.2518 4.2518 -4.2464" Properties=species:S:1:pos:R:3 pbc="T T T"
Pu 4.8426 1.5300 -0.4547
Pu 2.7218 3.6610 -2.5779
Pu 1.5300 0.5908 1.6685
Pu 1.5300 3.6610 0.4547
Pu 2.7218 0.5908 4.7011
Pu 4.8426 2.7218 2.5779
Pu -0.5908 2.7218 3.7917
Pu -0.5908 1.5300 6.8243
Ir 4.2518 0.0000 2.1232
Ir 0.0000 0.0000 4.2464
Rh -1.0515 2.1259 1.0616
Rh 2.1259 3.2003 3.1848
Rh 1.0515 6.3777 1.0616
Rh -2.1259 5.3033 3.1848
```